No. 1
For ThPa4Ga12, a structure optimized by DFT (PBE) gives the computed powder diffraction line list in this record (Cu Kα (λ = 1.5418 Å)).

Structural model:
a = 7.680 Å, b = 7.680 Å, c = 7.680 Å
α = 109.47°, β = 109.47°, γ = 109.47°
Positions (direct):
Th  0.000  0.000  0.000
Pa  0.000  0.000  0.500
Pa  0.000  0.500  0.000
Pa  0.500  0.000  0.000
Pa  0.500  0.500  0.500
Ga  0.000  0.323  0.323
Ga  0.000  0.677  0.677
Ga  0.250  0.500  0.750
Ga  0.250  0.750  0.500
Ga  0.323  0.000  0.323
Ga  0.323  0.323  0.000
Ga  0.500  0.250  0.750
Ga  0.500  0.750  0.250
Ga  0.677  0.000  0.677
Ga  0.677  0.677  0.000
Ga  0.750  0.250  0.500
Ga  0.750  0.500  0.250

Top 10 peaks for 5° ≤ 2θ ≤ 70°, low angle first:
2theta  d/Å  I_rel
28.5  3.135  100
31.9  2.804  15
35.1  2.560  84
38.0  2.370  27
40.7  2.217  72
45.8  1.983  17
48.1  1.891  17
50.4  1.810  28
58.9  1.568  40
66.7  1.402  29

***

No. 2
For Dy5Tm2Pb4, a structure optimized by DFT (PBE) gives the computed powder diffraction line list in this record (Cu Kα (λ = 1.5418 Å)).

Structural model:
a = 17.848 Å, b = 17.848 Å, c = 5.607 Å
α = 95.87°, β = 95.87°, γ = 10.96°
Positions (direct):
Dy  0.000  0.000  0.000
Dy  0.305  0.305  0.872
Dy  0.361  0.361  0.415
Dy  0.639  0.639  0.585
Dy  0.695  0.695  0.128
Tm  0.411  0.411  0.942
Tm  0.589  0.589  0.058
Pb  0.217  0.217  0.659
Pb  0.453  0.453  0.468
Pb  0.547  0.547  0.532
Pb  0.783  0.783  0.341

Top 10 peaks for 5° ≤ 2θ ≤ 70°, low angle first:
2theta  d/Å  I_rel
26.3  3.394  37
31.0  2.887  28
31.3  2.858  100
32.0  2.799  55
32.9  2.723  51
34.8  2.582  24
34.8  2.575  21
36.5  2.464  20
39.5  2.280  30
40.7  2.217  31

***

No. 3
For LaIn2Te4, a structure optimized by DFT (PBE) gives the computed powder diffraction line list in this record (Cu Kα (λ = 1.5418 Å)).

Structural model:
a = 8.444 Å, b = 8.444 Å, c = 7.357 Å
α = 90.00°, β = 90.00°, γ = 90.00°
Positions (direct):
La  0.000  0.000  0.000
La  0.500  0.500  0.500
In  0.000  0.500  0.250
In  0.000  0.500  0.750
In  0.500  0.000  0.250
In  0.500  0.000  0.750
Te  0.177  0.297  0.500
Te  0.203  0.677  0.000
Te  0.297  0.823  0.500
Te  0.323  0.203  0.000
Te  0.677  0.797  0.000
Te  0.703  0.177  0.500
Te  0.797  0.323  0.000
Te  0.823  0.703  0.500

Top 10 peaks for 5° ≤ 2θ ≤ 70°, low angle first:
2theta  d/Å  I_rel
14.8  5.971  20
24.2  3.679  19
26.5  3.360  100
28.5  3.132  30
29.9  2.985  54
32.3  2.774  47
41.8  2.161  64
44.0  2.057  25
46.0  1.973  33
69.8  1.348  28

***

No. 4
For Cr2ReAs, a structure optimized by DFT (PBE) gives the computed powder diffraction line list in this record (Cu Kα (λ = 1.5418 Å)).

Structural model:
a = 2.830 Å, b = 3.910 Å, c = 4.903 Å
α = 90.00°, β = 90.00°, γ = 90.00°
Positions (direct):
Cr  0.000  0.000  0.000
Cr  0.500  0.500  0.268
Re  0.000  0.000  0.491
As  0.500  0.500  0.773

Top 10 peaks for 5° ≤ 2θ ≤ 70°, low angle first:
2theta  d/Å  I_rel
18.1  4.903  39
22.7  3.910  17
29.2  3.057  31
36.7  2.451  24
39.3  2.292  100
43.6  2.077  90
46.4  1.955  31
49.2  1.853  50
66.0  1.415  13
70.0  1.345  34

***

No. 5
For TaRe3, a structure optimized by DFT (PBE) gives the computed powder diffraction line list in this record (Cu Kα (λ = 1.5418 Å)).

Structural model:
a = 8.904 Å, b = 8.904 Å, c = 2.746 Å
α = 90.00°, β = 90.00°, γ = 120.00°
Positions (direct):
Ta  0.000  0.000  0.000
Ta  0.333  0.667  0.667
Ta  0.667  0.333  0.333
Re  0.000  0.500  0.000
Re  0.167  0.333  0.333
Re  0.167  0.833  0.333
Re  0.333  0.167  0.667
Re  0.500  0.000  0.000
Re  0.500  0.500  0.000
Re  0.667  0.833  0.333
Re  0.833  0.167  0.667
Re  0.833  0.667  0.667

Top 3 peaks for 5° ≤ 2θ ≤ 70°, low angle first:
2theta  d/Å  I_rel
40.3  2.236  100
40.5  2.226  99
58.5  1.578  34

***

No. 6
For TiBeRh, a structure optimized by DFT (PBE) gives the computed powder diffraction line list in this record (Cu Kα (λ = 1.5418 Å)).

Structural model:
a = 5.774 Å, b = 3.703 Å, c = 7.316 Å
α = 90.00°, β = 90.00°, γ = 90.00°
Positions (direct):
Ti  0.039  0.250  0.185
Ti  0.461  0.750  0.685
Ti  0.539  0.250  0.315
Ti  0.961  0.750  0.815
Be  0.225  0.750  0.377
Be  0.275  0.250  0.877
Be  0.725  0.750  0.123
Be  0.775  0.250  0.623
Rh  0.180  0.250  0.562
Rh  0.320  0.750  0.062
Rh  0.680  0.250  0.938
Rh  0.820  0.750  0.438

Top 10 peaks for 5° ≤ 2θ ≤ 70°, low angle first:
2theta  d/Å  I_rel
19.6  4.532  14
28.9  3.090  46
31.2  2.868  100
37.9  2.373  40
39.6  2.277  42
39.8  2.266  24
41.5  2.174  32
44.5  2.037  40
48.9  1.862  41
49.2  1.852  27

***

No. 7
For Nb2AgSn2, a structure optimized by DFT (PBE) gives the computed powder diffraction line list in this record (Cu Kα (λ = 1.5418 Å)).

Structural model:
a = 8.366 Å, b = 8.366 Å, c = 3.049 Å
α = 90.00°, β = 90.00°, γ = 90.00°
Positions (direct):
Nb  0.116  0.384  0.000
Nb  0.384  0.884  0.000
Nb  0.616  0.116  0.000
Nb  0.884  0.616  0.000
Ag  0.000  0.000  0.500
Ag  0.500  0.500  0.500
Sn  0.178  0.678  0.500
Sn  0.322  0.178  0.500
Sn  0.678  0.822  0.500
Sn  0.822  0.322  0.500

Top 10 peaks for 5° ≤ 2θ ≤ 70°, low angle first:
2theta  d/Å  I_rel
30.2  2.958  23
33.0  2.711  25
33.9  2.646  69
38.1  2.364  100
38.8  2.320  21
42.6  2.123  17
44.7  2.029  22
45.4  1.998  12
53.1  1.725  12
54.3  1.689  14